# 1
Calculated powder diffractogram of CeNd2Pa2Ru5 for CuKα, from a GGA-PBE-relaxed structure.
Intensities are scaled so that the largest is 100.

a = 10.724 Å, b = 10.724 Å, c = 3.704 Å
α = 90.00°, β = 90.00°, γ = 90.00°
Space group P4/mbm (No. 127)
Asymmetric unit:
Ce 0.000 0.000 0.000 (multiplicity 2)
Nd 0.174 0.326 0.000 (multiplicity 4)
Pa 0.135 0.635 0.000 (multiplicity 4)
Ru 0.000 0.500 0.500 (multiplicity 2)
Ru 0.055 0.798 0.500 (multiplicity 8)

Most intense lines, 10 to 80 degrees two-theta, in order of rising 2θ:
2θ = 18.5°, I 21, hkl 2 1 0; 2θ = 26.3°, I 17, hkl 3 1 0; 2θ = 33.8°, I 17, hkl 2 2 1; 2θ = 34.5°, I 18, hkl 4 1 0; 2θ = 35.5°, I 24, hkl 3 3 0; 2θ = 35.9°, I 100, hkl 3 1 1; 2θ = 37.5°, I 12, hkl 4 2 0; 2θ = 38.8°, I 32, hkl 3 2 1; 2θ = 41.6°, I 23, hkl 4 0 1; 2θ = 49.2°, I 18, hkl 0 0 2; 2θ = 57.9°, I 11, hkl 6 1 1; 2θ = 73.6°, I 13, hkl 6 0 2


# 2
Calculated powder diffractogram of Ce2NdPaSe5 for CuKα, from a GGA-PBE-relaxed structure.
Intensities are scaled so that the largest is 100.

a = 5.201 Å, b = 5.201 Å, c = 10.984 Å
α = 90.00°, β = 90.00°, γ = 90.00°
Space group P4/mmm (No. 123)
Asymmetric unit:
Ce 0.000 0.000 0.189 (multiplicity 2)
Nd 0.500 0.500 0.500 (multiplicity 1)
Pa 0.500 0.500 0.000 (multiplicity 1)
Se 0.000 0.000 0.500 (multiplicity 1)
Se 0.000 0.500 0.000 (multiplicity 2)
Se 0.500 0.500 0.251 (multiplicity 2)

Most intense lines, 10 to 80 degrees two-theta, in order of rising 2θ:
2θ = 23.6°, I 40, hkl 1 0 2; 2θ = 24.2°, I 92, hkl 1 1 0; 2θ = 29.8°, I 35, hkl 1 0 3; 2θ = 32.6°, I 25, hkl 0 0 4; 2θ = 34.5°, I 100, hkl 2 0 0; 2θ = 37.0°, I 22, hkl 1 0 4; 2θ = 41.0°, I 22, hkl 1 1 4; 2θ = 42.2°, I 18, hkl 2 1 2; 2θ = 46.2°, I 21, hkl 2 1 3; 2θ = 48.2°, I 34, hkl 2 0 4; 2θ = 49.6°, I 27, hkl 2 2 0; 2θ = 55.9°, I 19, hkl 3 1 0


# 3
Calculated powder diffractogram of Ce6NdPb10 for CuKα, from a GGA-PBE-relaxed structure.
Intensities are scaled so that the largest is 100.

a = 9.5906 Å, b = 9.5906 Å, c = 6.5552 Å
α = 90.00°, β = 90.00°, γ = 120.00°
Space group P-31m (No. 162)
Asymmetric unit:
Ce 0.0000 0.3836 0.2651 (multiplicity 6)
Nd 0.0000 0.0000 0.5000 (multiplicity 1)
Pb 0.0000 0.2733 0.7872 (multiplicity 6)
Pb 0.3333 0.6667 0.0000 (multiplicity 2)
Pb 0.3333 0.6667 0.5000 (multiplicity 2)

Most intense lines, 10 to 80 degrees two-theta, in order of rising 2θ:
2θ = 28.4°, I 13, hkl 2 1 0; 2θ = 31.6°, I 61, hkl 3 -1 1; 2θ = 32.3°, I 82, hkl 3 0 0; 2θ = 33.1°, I 100, hkl 1 1 2; 2θ = 41.6°, I 13, hkl 3 1 1; 2θ = 47.0°, I 28, hkl 4 -2 2; 2θ = 49.8°, I 15, hkl 3 2 1; 2θ = 50.9°, I 11, hkl 3 -1 3; 2θ = 58.2°, I 24, hkl 4 1 2; 2θ = 64.0°, I 17, hkl 6 -1 1; 2θ = 66.3°, I 15, hkl 3 0 4; 2θ = 77.5°, I 12, hkl 5 2 2


# 4
Calculated powder diffractogram of Ce2Nd2Pb3 for CuKα, from a GGA-PBE-relaxed structure.
Intensities are scaled so that the largest is 100.

a = 5.194 Å, b = 5.267 Å, c = 16.868 Å
α = 90.00°, β = 90.00°, γ = 90.00°
Space group Immm (No. 71)
Asymmetric unit:
Ce 0.000 0.000 0.123 (multiplicity 4)
Nd 0.000 0.000 0.381 (multiplicity 4)
Pb 0.000 0.500 0.248 (multiplicity 4)
Pb 0.000 0.500 0.500 (multiplicity 2)

Most intense lines, 10 to 80 degrees two-theta, in order of rising 2θ:
2θ = 10.5°, I 7, hkl 0 0 2; 2θ = 32.2°, I 100, hkl 1 1 4; 2θ = 34.0°, I 22, hkl 0 2 0; 2θ = 34.5°, I 21, hkl 2 0 0; 2θ = 42.9°, I 11, hkl 0 0 8; 2θ = 49.3°, I 16, hkl 2 2 0; 2θ = 55.9°, I 10, hkl 0 2 8; 2θ = 56.2°, I 10, hkl 2 0 8; 2θ = 59.8°, I 18, hkl 1 3 4; 2θ = 60.4°, I 17, hkl 3 1 4; 2θ = 67.4°, I 12, hkl 2 2 8; 2θ = 71.8°, I 10, hkl 1 1 12


# 5
Calculated powder diffractogram of CeNd3Pb4 for CuKα, from a GGA-PBE-relaxed structure.
Intensities are scaled so that the largest is 100.

a = 7.260 Å, b = 7.264 Å, c = 9.844 Å
α = 90.00°, β = 111.56°, γ = 90.00°
Space group C2/m (No. 12)
Asymmetric unit:
Ce 0.000 0.000 0.000 (multiplicity 2)
Nd 0.000 0.500 0.000 (multiplicity 2)
Nd 0.250 0.000 0.501 (multiplicity 4)
Pb 0.125 0.250 0.751 (multiplicity 8)

Most intense lines, 10 to 80 degrees two-theta, in order of rising 2θ:
2θ = 19.4°, I 2, hkl 0 0 2; 2θ = 24.5°, I 3, hkl 0 2 0; 2θ = 31.4°, I 100, hkl 2 0 1; 2θ = 34.9°, I 38, hkl 2 2 -1; 2θ = 39.4°, I 14, hkl 0 0 4; 2θ = 40.3°, I 2, hkl 2 2 1; 2θ = 50.3°, I 14, hkl 0 4 0; 2θ = 53.6°, I 23, hkl 2 2 3; 2θ = 60.5°, I 32, hkl 4 2 0; 2θ = 65.6°, I 12, hkl 4 0 2; 2θ = 66.5°, I 12, hkl 2 0 5; 2θ = 73.8°, I 4, hkl 4 4 -2


# 6
Calculated powder diffractogram of Ce2Nd5Pb4 for CuKα, from a GGA-PBE-relaxed structure.
Intensities are scaled so that the largest is 100.

a = 23.632 Å, b = 3.566 Å, c = 8.425 Å
α = 90.00°, β = 93.39°, γ = 90.00°
Space group C2/m (No. 12)
Asymmetric unit:
Ce 0.234 0.000 0.331 (multiplicity 4)
Nd 0.000 0.000 0.500 (multiplicity 2)
Nd 0.132 0.500 0.558 (multiplicity 4)
Nd 0.180 0.500 0.988 (multiplicity 4)
Pb 0.039 0.500 0.851 (multiplicity 4)
Pb 0.093 0.000 0.220 (multiplicity 4)

Most intense lines, 10 to 80 degrees two-theta, in order of rising 2θ:
2θ = 27.5°, I 77, hkl 1 1 1; 2θ = 29.7°, I 33, hkl 3 1 1; 2θ = 31.6°, I 100, hkl 8 0 -1; 2θ = 32.1°, I 87, hkl 6 0 2; 2θ = 32.4°, I 85, hkl 2 0 -3; 2θ = 33.6°, I 84, hkl 5 1 1; 2θ = 34.5°, I 85, hkl 3 1 -2; 2θ = 51.2°, I 28, hkl 0 2 0; 2θ = 52.4°, I 36, hkl 3 1 4; 2θ = 56.9°, I 32, hkl 10 0 -4; 2θ = 61.4°, I 33, hkl 8 2 -1; 2θ = 61.7°, I 48, hkl 6 2 2


# 7
Calculated powder diffractogram of Ce2Nd2Pb7 for CuKα, from a GGA-PBE-relaxed structure.
Intensities are scaled so that the largest is 100.

a = 9.496 Å, b = 11.282 Å, c = 7.326 Å
α = 90.00°, β = 90.00°, γ = 90.00°
Space group Cmmm (No. 65)
Asymmetric unit:
Ce 0.000 0.218 0.000 (multiplicity 4)
Nd 0.189 0.500 0.500 (multiplicity 4)
Pb 0.000 0.000 0.293 (multiplicity 4)
Pb 0.000 0.500 0.000 (multiplicity 2)
Pb 0.250 0.250 0.288 (multiplicity 8)

Most intense lines, 10 to 80 degrees two-theta, in order of rising 2θ:
2θ = 22.3°, I 51, hkl 2 0 1; 2θ = 24.5°, I 62, hkl 2 2 0; 2θ = 27.3°, I 38, hkl 1 1 2; 2θ = 31.7°, I 85, hkl 0 4 0; 2θ = 34.8°, I 100, hkl 2 2 2; 2θ = 35.5°, I 36, hkl 1 3 2; 2θ = 37.9°, I 33, hkl 4 0 0; 2θ = 39.2°, I 41, hkl 3 3 1; 2θ = 44.7°, I 28, hkl 2 2 3; 2θ = 50.2°, I 27, hkl 4 4 0; 2θ = 58.5°, I 18, hkl 2 6 2; 2θ = 63.9°, I 23, hkl 4 4 3


# 8
Calculated powder diffractogram of CeNd3Pb3 for CuKα, from a GGA-PBE-relaxed structure.
Intensities are scaled so that the largest is 100.

a = 9.5593 Å, b = 9.5593 Å, c = 5.6398 Å
α = 90.00°, β = 90.00°, γ = 120.00°
Space group P6_3/m (No. 176)
Asymmetric unit:
Ce 0.3333 0.6667 0.2500 (multiplicity 2)
Nd 0.0072 0.2436 0.2500 (multiplicity 6)
Pb 0.0777 0.4533 0.7500 (multiplicity 6)

Most intense lines, 10 to 80 degrees two-theta, in order of rising 2θ:
2θ = 18.6°, I 5, hkl 1 1 0; 2θ = 26.7°, I 5, hkl 2 0 1; 2θ = 28.5°, I 22, hkl 2 1 0; 2θ = 31.7°, I 27, hkl 0 0 2; 2θ = 32.7°, I 100, hkl 2 1 1; 2θ = 43.2°, I 15, hkl 2 1 2; 2θ = 50.5°, I 14, hkl 1 4 0; 2θ = 57.2°, I 21, hkl 2 1 3; 2θ = 60.9°, I 16, hkl 1 4 2; 2θ = 61.5°, I 9, hkl 4 2 1; 2θ = 64.9°, I 5, hkl 5 1 1; 2θ = 79.7°, I 5, hkl 4 2 3


# 9
Calculated powder diffractogram of Ce2NdSn2Pd2 for CuKα, from a GGA-PBE-relaxed structure.
Intensities are scaled so that the largest is 100.

a = 4.6645 Å, b = 4.6645 Å, c = 26.9366 Å
α = 90.00°, β = 90.00°, γ = 120.00°
Space group R-3m (No. 166, hexagonal axes)
Asymmetric unit:
Ce 0.0000 0.0000 0.1428 (multiplicity 6)
Nd 0.0000 0.0000 0.0000 (multiplicity 3)
Sn 0.0000 0.0000 0.2647 (multiplicity 6)
Pd 0.0000 0.0000 0.4367 (multiplicity 6)

Most intense lines, 10 to 80 degrees two-theta, in order of rising 2θ:
2θ = 32.1°, I 100, hkl 1 0 7; 2θ = 34.7°, I 11, hkl 0 1 8; 2θ = 38.6°, I 79, hkl 1 1 0; 2θ = 40.2°, I 16, hkl 1 0 10; 2θ = 51.1°, I 27, hkl 0 2 7; 2θ = 52.7°, I 11, hkl 0 1 14; 2θ = 57.0°, I 8, hkl 0 2 10; 2θ = 63.0°, I 7, hkl 0 1 17; 2θ = 65.6°, I 6, hkl 1 1 15; 2θ = 65.8°, I 25, hkl 2 1 7; 2θ = 69.9°, I 14, hkl 3 0 0; 2θ = 71.0°, I 5, hkl 2 1 10


# 10
Calculated powder diffractogram of CePm3Nd4 for CuKα, from a GGA-PBE-relaxed structure.
Intensities are scaled so that the largest is 100.

a = 25.623 Å, b = 3.489 Å, c = 6.242 Å
α = 90.00°, β = 95.83°, γ = 90.00°
Space group C2/m (No. 12)
Asymmetric unit:
Ce 0.000 0.000 0.000 (multiplicity 2)
Pm 0.000 0.500 0.500 (multiplicity 2)
Pm 0.143 0.500 0.746 (multiplicity 4)
Nd 0.104 0.500 0.230 (multiplicity 4)
Nd 0.221 0.000 0.237 (multiplicity 4)

Most intense lines, 10 to 80 degrees two-theta, in order of rising 2θ:
2θ = 25.8°, I 52, hkl 1 1 0; 2θ = 28.0°, I 63, hkl 8 0 0; 2θ = 28.8°, I 47, hkl 0 0 2; 2θ = 28.9°, I 60, hkl 2 0 -2; 2θ = 29.4°, I 100, hkl 1 1 -1; 2θ = 30.2°, I 74, hkl 8 0 -1; 2θ = 31.1°, I 76, hkl 5 1 0; 2θ = 31.7°, I 100, hkl 3 1 1; 2θ = 32.9°, I 62, hkl 8 0 1; 2θ = 35.6°, I 47, hkl 7 1 0; 2θ = 37.6°, I 47, hkl 7 1 -1; 2θ = 42.5°, I 43, hkl 9 1 -1


# 11
Calculated powder diffractogram of CePm4Nd6 for CuKα, from a GGA-PBE-relaxed structure.
Intensities are scaled so that the largest is 100.

a = 6.589 Å, b = 6.589 Å, c = 17.938 Å
α = 90.00°, β = 90.00°, γ = 90.00°
Space group I-42m (No. 121)
Asymmetric unit:
Ce 0.000 0.000 0.000 (multiplicity 2)
Pm 0.190 0.190 0.180 (multiplicity 8)
Nd 0.000 0.500 0.000 (multiplicity 4)
Nd 0.184 0.184 0.370 (multiplicity 8)

Most intense lines, 10 to 80 degrees two-theta, in order of rising 2θ:
2θ = 27.6°, I 40, hkl 1 1 4; 2θ = 28.3°, I 30, hkl 1 0 5; 2θ = 28.9°, I 74, hkl 2 0 2; 2θ = 29.9°, I 36, hkl 0 0 6; 2θ = 30.8°, I 100, hkl 2 1 1; 2θ = 33.8°, I 74, hkl 2 0 4; 2θ = 35.7°, I 42, hkl 1 1 6; 2θ = 38.7°, I 32, hkl 2 2 0; 2θ = 39.6°, I 35, hkl 2 1 5; 2θ = 49.6°, I 24, hkl 2 2 6; 2θ = 56.5°, I 21, hkl 3 2 5; 2θ = 57.9°, I 31, hkl 4 1 1


# 12
Calculated powder diffractogram of CePm6Nd5 for CuKα, from a GGA-PBE-relaxed structure.
Intensities are scaled so that the largest is 100.

a = 5.168 Å, b = 10.339 Å, c = 15.505 Å
α = 90.00°, β = 90.00°, γ = 90.00°
Space group Immm (No. 71)
Asymmetric unit:
Ce 0.000 0.000 0.000 (multiplicity 2)
Pm 0.000 0.248 0.165 (multiplicity 8)
Pm 0.000 0.254 0.500 (multiplicity 4)
Nd 0.000 0.000 0.333 (multiplicity 4)
Nd 0.000 0.500 0.000 (multiplicity 2)
Nd 0.000 0.500 0.335 (multiplicity 4)

Most intense lines, 10 to 80 degrees two-theta, in order of rising 2θ:
2θ = 29.9°, I 100, hkl 1 2 3; 2θ = 34.7°, I 51, hkl 2 0 0; 2θ = 49.9°, I 36, hkl 2 4 0; 2θ = 59.3°, I 43, hkl 3 2 3; 2θ = 62.2°, I 12, hkl 2 4 6; 2θ = 73.3°, I 6, hkl 4 0 0


Copy entry 10 word for word.
Calculated powder diffractogram of CePm3Nd4 for CuKα, from a GGA-PBE-relaxed structure.
Intensities are scaled so that the largest is 100.

a = 25.623 Å, b = 3.489 Å, c = 6.242 Å
α = 90.00°, β = 95.83°, γ = 90.00°
Space group C2/m (No. 12)
Asymmetric unit:
Ce 0.000 0.000 0.000 (multiplicity 2)
Pm 0.000 0.500 0.500 (multiplicity 2)
Pm 0.143 0.500 0.746 (multiplicity 4)
Nd 0.104 0.500 0.230 (multiplicity 4)
Nd 0.221 0.000 0.237 (multiplicity 4)

Most intense lines, 10 to 80 degrees two-theta, in order of rising 2θ:
2θ = 25.8°, I 52, hkl 1 1 0; 2θ = 28.0°, I 63, hkl 8 0 0; 2θ = 28.8°, I 47, hkl 0 0 2; 2θ = 28.9°, I 60, hkl 2 0 -2; 2θ = 29.4°, I 100, hkl 1 1 -1; 2θ = 30.2°, I 74, hkl 8 0 -1; 2θ = 31.1°, I 76, hkl 5 1 0; 2θ = 31.7°, I 100, hkl 3 1 1; 2θ = 32.9°, I 62, hkl 8 0 1; 2θ = 35.6°, I 47, hkl 7 1 0; 2θ = 37.6°, I 47, hkl 7 1 -1; 2θ = 42.5°, I 43, hkl 9 1 -1